1.
# La5Y8Mg
Calculated powder diffraction line list, Cu Ka. Input: DFT lattice parameters and positions (GGA-PBE).

Structure:
```
La5Y8Mg
1.0
6.882 -5.067 0.000
6.882 5.067 0.000
-6.873 0.000 6.899
La Y Mg
5 8 1
Cartesian
0.000 0.000 0.000 La
4.695 0.798 0.772 La
-0.759 -0.806 4.701 La
2.195 0.798 6.127 La
7.649 -0.806 2.198 La
4.145 4.088 1.777 Y
-0.701 2.606 5.061 Y
2.745 4.088 5.121 Y
1.776 0.976 2.744 Y
7.591 2.606 1.838 Y
5.114 0.976 4.155 Y
5.036 -2.608 0.700 Y
1.854 -2.608 6.199 Y
3.445 -2.539 3.449 Mg
```

The 12 most intense peaks (2θ = 10–90°), most intense first:
2theta, d (Å), I/Imax
33.6, 2.670, 100
28.9, 3.091, 68
29.0, 3.080, 60
34.3, 2.611, 42
28.0, 3.192, 41
34.1, 2.633, 29
54.3, 1.689, 28
31.4, 2.849, 22
62.7, 1.481, 19
22.2, 4.003, 16
12.8, 6.890, 15
60.0, 1.541, 13



2.
# V4Cr2Te9
Calculated powder diffraction line list, Cu Ka. Input: DFT lattice parameters and positions (GGA-PBE).

Structure:
```
V4Cr2Te9
1.0
6.952 0.000 0.000
-3.476 6.021 0.000
0.000 0.000 17.923
V Cr Te
8 4 18
Cartesian
0.000 4.014 0.016 V
0.000 4.014 5.886 V
0.000 4.014 8.978 V
0.000 4.014 14.847 V
3.476 2.007 3.076 V
3.476 2.007 8.945 V
3.476 2.007 12.038 V
3.476 2.007 17.907 V
0.000 0.000 2.876 Cr
0.000 0.000 6.086 Cr
0.000 0.000 11.838 Cr
0.000 0.000 15.047 Cr
-1.129 1.955 4.481 Te
-2.347 4.066 13.443 Te
-1.163 2.057 16.409 Te
-2.276 3.985 7.447 Te
2.257 0.000 4.481 Te
1.129 1.955 13.443 Te
1.163 2.057 7.447 Te
-1.113 6.000 16.409 Te
2.363 0.021 10.476 Te
1.200 2.036 1.515 Te
2.276 3.985 16.409 Te
1.113 6.000 7.447 Te
4.589 0.021 1.515 Te
2.313 3.964 10.476 Te
4.695 0.000 13.443 Te
2.347 4.066 4.481 Te
5.752 2.036 10.476 Te
4.639 3.964 1.515 Te
```

The 12 most intense peaks (2θ = 10–90°), most intense first:
2theta, d (Å), I/Imax
29.7, 3.005, 100
39.8, 2.266, 36
45.2, 2.007, 34
53.0, 1.728, 19
55.0, 1.669, 17
73.9, 1.283, 14
55.1, 1.666, 13
80.1, 1.198, 12
29.9, 2.987, 11
61.8, 1.502, 9
89.3, 1.097, 9
79.7, 1.203, 8



3.
# Ac7Pd2Pb2
Calculated powder diffraction line list, Cu Ka. Input: DFT lattice parameters and positions (GGA-PBE).

Structure:
```
Ac7Pd2Pb2
1.0
4.445 -6.173 0.000
4.445 6.173 0.000
0.000 0.000 7.684
Ac Pd Pb
7 2 2
Cartesian
0.000 0.000 0.000 Ac
2.222 3.086 1.988 Ac
2.222 3.086 5.696 Ac
2.222 -3.086 1.988 Ac
2.222 -3.086 5.696 Ac
4.445 0.000 1.805 Ac
4.445 0.000 5.879 Ac
4.445 2.689 0.000 Pd
4.445 -2.689 0.000 Pd
1.566 0.000 3.842 Pb
7.323 0.000 3.842 Pb
```

The 12 most intense peaks (2θ = 10–90°), most intense first:
2theta, d (Å), I/Imax
34.1, 2.630, 100
28.9, 3.086, 72
24.7, 3.607, 57
26.3, 3.391, 52
33.5, 2.678, 41
23.1, 3.846, 40
56.4, 1.631, 34
27.3, 3.262, 33
47.3, 1.922, 28
54.7, 1.679, 24
40.6, 2.222, 20
50.6, 1.803, 19